[1]
This entry pairs a crystal structure of LiHo3Pt4 with its simulated powder XRD pattern. Radiation: λ = 1.5418 Å (Cu Kα). Structure: a DFT-relaxed cell (GGA-PBE, Alexandria).

abc: 14.2045 4.8440 4.8441
angles: 90.00 109.80 90.00
Space group C2/m (No. 12)
Unique sites:
Li1 0.0000 0.0000 0.0000 x2
Ho1 0.0000 0.5000 0.5000 x2
Ho2 0.2413 0.0000 0.2416 x4
Pt1 0.1227 0.0000 0.6237 x4
Pt2 0.1227 0.5000 0.1223 x4

Peak list (10 most intense, 15° ≤ 2θ ≤ 90°, low angle first)
(hkl), d_spacing, I (rel.)
2 0 -1, 4.554, 7
1 1 -1, 3.425, 6
4 0 -1, 3.279, 7
0 2 0, 2.422, 53
3 1 1, 2.392, 100
2 2 -2, 1.713, 19
8 0 0, 1.671, 8
3 3 1, 1.393, 28
7 1 -3, 1.391, 9
8 2 0, 1.376, 13

[2]
This entry pairs a crystal structure of LiHo2SiPt6 with its simulated powder XRD pattern. Radiation: λ = 1.5418 Å (Cu Kα). Structure: a DFT-relaxed cell (GGA-PBE, Alexandria).

abc: 9.6679 5.5870 7.7715
angles: 90.00 114.32 90.00
Space group C2/m (No. 12)
Unique sites:
Li1 0.0000 0.0000 0.0000 x2
Ho1 0.2042 0.5000 0.1117 x4
Si1 0.0000 0.5000 0.5000 x2
Pt1 0.0074 0.2428 0.2645 x8
Pt2 0.2502 0.0000 0.2647 x4

Peak list (10 most intense, 15° ≤ 2θ ≤ 90°, low angle first)
(hkl), d_spacing, I (rel.)
0 0 2, 3.541, 55
1 1 -2, 3.192, 24
2 2 0, 2.358, 100
1 1 -3, 2.328, 15
4 0 0, 2.201, 72
0 2 2, 2.194, 12
2 0 -4, 1.945, 16
2 2 2, 1.790, 13
0 4 0, 1.396, 23
8 0 -2, 1.201, 12

[3]
This entry pairs a crystal structure of RbLiHo2S4 with its simulated powder XRD pattern. Radiation: λ = 1.5418 Å (Cu Kα). Structure: a DFT-relaxed cell (GGA-PBE, Alexandria).

abc: 4.0353 13.5904 13.9791
angles: 90.00 90.00 90.00
Space group Cmcm (No. 63)
Unique sites:
Rb1 0.0000 0.1061 0.2500 x4
Li1 0.0000 0.1711 0.7500 x4
Ho1 0.0000 0.3658 0.0608 x8
S1 0.0000 0.0000 0.0000 x4
S2 0.0000 0.2598 0.6045 x8
S3 0.0000 0.4182 0.2500 x4

Peak list (10 most intense, 15° ≤ 2θ ≤ 90°, low angle first)
(hkl), d_spacing, I (rel.)
0 2 3, 3.843, 100
0 4 0, 3.398, 31
1 1 2, 3.385, 34
1 3 0, 3.013, 35
1 3 1, 2.946, 45
1 3 2, 2.767, 56
1 1 5, 2.266, 40
1 3 5, 2.049, 25
1 5 3, 2.029, 32
2 2 3, 1.786, 24

[4]
This entry pairs a crystal structure of LiHoZr2Rh4 with its simulated powder XRD pattern. Radiation: λ = 1.5418 Å (Cu Kα). Structure: a DFT-relaxed cell (GGA-PBE, Alexandria).

abc: 4.5975 4.5975 22.6724
angles: 90.00 90.00 120.00
Space group R-3m (No. 166, hexagonal axes)
Unique sites:
Li1 0.0000 0.0000 0.0000 x3
Ho1 0.0000 0.0000 0.5000 x3
Zr1 0.0000 0.0000 0.2576 x6
Rh1 0.0000 0.0000 0.1228 x6
Rh2 0.0000 0.0000 0.3753 x6

Peak list (10 most intense, 15° ≤ 2θ ≤ 90°, low angle first)
(hkl), d_spacing, I (rel.)
1 0 1, 3.922, 19
0 1 5, 2.992, 15
0 1 8, 2.309, 98
1 1 0, 2.299, 100
2 0 8, 1.629, 33
1 0 16, 1.335, 15
1 2 8, 1.329, 33
3 0 0, 1.327, 17
0 2 16, 1.154, 9
2 2 0, 1.149, 11